This entry pairs a crystal structure of DyVIO4 with its computed powder diffractogram. Radiation: Cu Kα, 1.54184 Å. Structure: the PBE+U geometry in Alexandria.
Neutral-atom scattering factors, no anomalous dispersion.

Peak list (10 most intense, 2θ = 5–70°, most intense first)
2θ 26.67, I = 100.0
2θ 28.20, I = 72.4
2θ 17.78, I = 53.1
2θ 32.19, I = 41.5
2θ 27.54, I = 38.6
2θ 26.96, I = 34.8
2θ 21.89, I = 33.3
2θ 54.00, I = 30.8
2θ 32.89, I = 28.0
2θ 39.41, I = 25.3

```
data_DyVIO4
_chemical_formula_sum 'Dy4 V4 I4 O16'
_cell_length_a 12.1099
_cell_length_b 6.3282
_cell_length_c 6.7834
_cell_angle_alpha 90.00
_cell_angle_beta 102.79
_cell_angle_gamma 90.00
_space_group_name_H-M_alt 'C 1 2/m 1'
_space_group_IT_number 12
loop_
_space_group_symop_operation_xyz
'x,y,z'
'-x,-y,-z'
'-x,y,-z'
'x,-y,z'
'x+1/2,y+1/2,z'
'-x+1/2,-y+1/2,-z'
'-x+1/2,y+1/2,-z'
'x+1/2,-y+1/2,z'
loop_
_atom_site_label
_atom_site_type_symbol
_atom_site_fract_x
_atom_site_fract_y
_atom_site_fract_z
Dy1 Dy 0.2027 0.0000 0.3382
V1 V 0.1311 0.0000 0.7563
I1 I 0.0394 0.5000 0.2004
O1 O 0.0126 0.0000 0.2752
O2 O 0.1778 0.2142 0.6224
O3 O 0.1939 0.0000 0.0087
```